Starting from a structure optimized by DFT (PBE+U), the powder diffractogram of Sr2NiO3F was calculated for a wavelength of 1.5418 Å.
Intensities are scaled so that the largest is 100.

Top 12 peaks for 2θ from 10° to 90°, by angle:
13.46 deg, I 17
31.01 deg, I 100
33.09 deg, I 81
41.18 deg, I 14
41.66 deg, I 32
43.29 deg, I 31
47.49 deg, I 45
53.81 deg, I 12
57.81 deg, I 35
64.64 deg, I 13
64.99 deg, I 16
69.43 deg, I 13

Structural model:
```
data_Sr2NiO3F
_chemical_formula_sum 'Sr4 Ni2 O6 F2'
_cell_length_a 3.8289
_cell_length_b 3.8289
_cell_length_c 13.1520
_cell_angle_alpha 90.00
_cell_angle_beta 90.00
_cell_angle_gamma 90.00
_space_group_name_H-M_alt 'I 4 m m'
_space_group_IT_number 107
_space_group_name_Hall 'I 4 -2'
loop_
_atom_site_label
_atom_site_fract_x
_atom_site_fract_y
_atom_site_fract_z
Sr1 0.0000 0.0000 0.0000
Sr2 0.0000 0.0000 0.2745
Ni1 0.0000 0.0000 0.6551
O1 0.0000 0.0000 0.8081
O2 0.0000 0.5000 0.1335
F1 0.0000 0.0000 0.4624
```